Record 1
Calculated X-ray diffraction stick pattern of Ba2SiHgAu6 for Cu Ka, from a PBE-relaxed structure.
Kinematic intensities with the Lorentz-polarization factor, no thermal factor.

Cell and atoms:
```
20
Lattice="3.397 1.962 12.513 -3.397 1.962 12.513 0.000 -3.923 12.513" Properties=species:S:1:pos:R:3 pbc="T T T"
Ba 0.000 0.000 4.114
Ba 0.000 0.000 10.472
Ba 0.000 0.000 27.068
Ba 0.000 0.000 33.426
Si 0.000 0.000 0.000
Si 0.000 0.000 18.770
Hg 0.000 0.000 15.918
Hg 0.000 0.000 21.622
Au -1.999 -1.154 17.749
Au 0.000 -1.711 13.628
Au -1.482 0.855 13.628
Au 0.000 -2.308 19.791
Au -1.999 1.154 19.791
Au -1.482 -0.855 23.912
Au 1.482 0.855 13.628
Au 1.999 -1.154 17.749
Au 0.000 2.308 17.749
Au 1.482 -0.855 23.912
Au 0.000 1.711 23.912
Au 1.999 1.154 19.791
```

Main lines, in order of rising 2θ (15 to 90 degrees two-theta):
| 2theta | I_rel |
| --- | --- |
| 19.16 | 26 |
| 29.93 | 38 |
| 30.27 | 22 |
| 30.76 | 22 |
| 32.69 | 49 |
| 34.60 | 40 |
| 34.78 | 100 |
| 40.48 | 24 |
| 40.86 | 30 |
| 48.64 | 18 |
| 51.46 | 30 |
| 53.98 | 34 |

***

Record 2
Calculated X-ray diffraction stick pattern of Nb7Rh2N2 for Cu Ka, from a PBE-relaxed structure.
Kinematic intensities with the Lorentz-polarization factor, no thermal factor.

Cell and atoms:
```
11
Lattice="4.830 -3.282 0.000 4.830 3.282 0.000 -0.448 0.000 5.526" Properties=species:S:1:pos:R:3 pbc="T T T"
Nb 0.000 0.000 0.000
Nb 2.445 1.441 4.204
Nb 4.144 0.000 1.221
Nb 6.766 1.441 1.322
Nb 2.445 -1.441 4.204
Nb 5.068 0.000 4.305
Nb 6.766 -1.441 1.322
Rh 4.606 2.066 2.763
Rh 4.606 -2.066 2.763
N 2.189 0.000 0.185
N 7.023 0.000 5.341
```

Main lines, in order of rising 2θ (15 to 90 degrees two-theta):
| 2theta | I_rel |
| --- | --- |
| 31.71 | 40 |
| 33.03 | 66 |
| 35.80 | 57 |
| 36.16 | 60 |
| 37.19 | 38 |
| 37.36 | 51 |
| 37.61 | 100 |
| 38.87 | 39 |
| 39.61 | 48 |
| 45.29 | 56 |
| 45.81 | 61 |
| 67.82 | 42 |

***

Record 3
Calculated X-ray diffraction stick pattern of AcPuScO6 for Cu Ka, from a PBE-relaxed structure.
Kinematic intensities with the Lorentz-polarization factor, no thermal factor.

Cell and atoms:
```
18
Lattice="5.591 0.000 0.000 -2.796 4.842 0.000 0.000 0.000 10.565" Properties=species:S:1:pos:R:3 pbc="T T T"
Ac 0.000 0.000 0.000
Ac 0.000 0.000 5.283
Pu 0.000 3.228 2.641
Pu 2.796 1.614 7.924
Sc 0.000 3.228 7.924
Sc 2.796 1.614 2.641
O -0.992 1.790 1.523
O -1.741 3.088 3.760
O 0.992 1.790 3.760
O -0.749 4.806 1.523
O 2.046 0.036 6.806
O 1.054 1.754 9.042
O 1.741 3.088 1.523
O 0.749 4.806 3.760
O 3.545 0.036 9.042
O 1.804 3.052 6.806
O 4.537 1.754 6.806
O 3.787 3.052 9.042
```

Main lines, in order of rising 2θ (15 to 90 degrees two-theta):
| 2theta | I_rel |
| --- | --- |
| 20.17 | 33 |
| 24.95 | 100 |
| 31.41 | 11 |
| 32.02 | 41 |
| 33.94 | 10 |
| 41.01 | 26 |
| 47.35 | 40 |
| 52.95 | 26 |
| 55.53 | 11 |
| 57.06 | 13 |
| 72.64 | 11 |
| 74.82 | 10 |

***

Record 4
Calculated X-ray diffraction stick pattern of ErSc6Se8 for Cu Ka, from a PBE-relaxed structure.
Kinematic intensities with the Lorentz-polarization factor, no thermal factor.

Cell and atoms:
```
15
Lattice="0.000 5.475 5.475 5.475 0.000 5.475 5.475 5.475 0.000" Properties=species:S:1:pos:R:3 pbc="T T T"
Er 0.000 0.000 0.000
Sc 2.737 2.737 0.000
Sc 2.737 0.000 2.737
Sc 5.475 2.737 2.737
Sc 0.000 2.737 2.737
Sc 2.737 5.475 2.737
Sc 2.737 2.737 5.475
Se 2.737 2.737 2.737
Se 5.475 5.475 2.834
Se 5.475 2.834 5.475
Se 8.115 5.475 5.475
Se 2.834 5.475 5.475
Se 5.475 8.115 5.475
Se 5.475 5.475 8.115
Se 8.212 8.212 8.212
```

Main lines, in order of rising 2θ (15 to 90 degrees two-theta):
| 2theta | I_rel |
| --- | --- |
| 27.01 | 17 |
| 28.23 | 7 |
| 32.72 | 100 |
| 35.75 | 12 |
| 42.92 | 5 |
| 46.94 | 70 |
| 49.23 | 4 |
| 58.39 | 24 |
| 65.48 | 6 |
| 68.57 | 11 |
| 78.07 | 29 |
| 87.24 | 22 |

***

Question: Number 3 is which compound?
Answer: AcPuScO6

***

Question: Number 4 is which compound?
Answer: ErSc6Se8